[1]
For AcLa2Pr2Ho, a cell relaxed with GGA-PBE gives the computed X-ray powder pattern in this record (CuKα).

The 6 most intense peaks (10 to 90 degrees two-theta), low angle first:
2θ/deg	I/Imax
29.94	99
30.34	100
43.15	37
53.63	26
59.21	30
76.23	14

Structure:
abc: 5.8838 10.2180 7.3598
angles: 90.00 90.00 90.00
Fractional coordinates of all 12 atoms:
Ac 0.0000 0.0003 0.0000
Ac 0.0000 0.9997 0.5000
La 0.0000 0.3342 0.2506
La 0.0000 0.6658 0.7506
La 0.5000 0.4995 0.0002
La 0.5000 0.5005 0.5002
Pr 0.0000 0.3361 0.7500
Pr 0.0000 0.6639 0.2500
Pr 0.5000 0.1704 0.2502
Pr 0.5000 0.8296 0.7502
Ho 0.5000 0.1670 0.7498
Ho 0.5000 0.8330 0.2498

[2]
For Ac2LaHoS4, a cell relaxed with GGA-PBE gives the computed X-ray powder pattern in this record (CuKα).

The 6 most intense peaks (10 to 90 degrees two-theta), low angle first:
2θ/deg	I/Imax
25.76	24
26.17	23
26.44	45
30.35	100
43.19	25
43.71	24

Structure:
abc: 7.1936 4.1086 7.3064
angles: 90.00 108.79 90.00
Fractional coordinates of all 8 atoms:
Ac 0.0000 0.0000 0.0000
Ac 0.5000 0.5000 0.0000
La 0.0000 0.5000 0.5000
Ho 0.5000 0.0000 0.5000
S 0.2549 0.0000 0.7309
S 0.2700 0.5000 0.2766
S 0.7300 0.5000 0.7234
S 0.7451 0.0000 0.2691

[3]
For AcLa2Sm5Ho, a cell relaxed with GGA-PBE gives the computed X-ray powder pattern in this record (CuKα).

The 6 most intense peaks (10 to 90 degrees two-theta), low angle first:
2θ/deg	I/Imax
26.24	19
30.77	100
32.23	34
34.23	18
47.72	15
56.56	24

Structure:
abc: 11.5601 11.5601 10.4788
angles: 90.00 90.00 152.20
Fractional coordinates of all 18 atoms:
Ac 0.0991 0.9009 0.5000
Ac 0.9009 0.0991 0.0000
La 0.3814 0.6186 0.7361
La 0.3819 0.6181 0.2641
La 0.6181 0.3819 0.7641
La 0.6186 0.3814 0.2361
Sm 0.0000 0.0000 0.2501
Sm 0.0000 0.0000 0.7501
Sm 0.1189 0.8811 0.0002
Sm 0.2212 0.7788 0.6948
Sm 0.2217 0.7783 0.3065
Sm 0.4966 0.5034 0.5003
Sm 0.5034 0.4966 0.0003
Sm 0.7783 0.2217 0.8065
Sm 0.7788 0.2212 0.1948
Sm 0.8811 0.1189 0.5002
Ho 0.2790 0.7210 0.0005
Ho 0.7210 0.2790 0.5005

[4]
For AcLa4TbHo2, a cell relaxed with GGA-PBE gives the computed X-ray powder pattern in this record (CuKα).

The 6 most intense peaks (10 to 90 degrees two-theta), low angle first:
2θ/deg	I/Imax
29.58	100
34.09	34
34.67	16
49.41	24
58.21	15
58.32	15

Structure:
abc: 11.6192 5.2533 10.5334
angles: 90.00 117.03 90.00
Fractional coordinates of all 16 atoms:
Ac 0.0000 0.0000 0.0000
Ac 0.5000 0.5000 0.0000
La 0.2464 0.0000 0.8692
La 0.2484 0.5000 0.6224
La 0.2516 0.0000 0.3776
La 0.2536 0.5000 0.1308
La 0.7464 0.5000 0.8692
La 0.7484 0.0000 0.6224
La 0.7516 0.5000 0.3776
La 0.7536 0.0000 0.1308
Tb 0.0000 0.0000 0.5000
Tb 0.5000 0.5000 0.5000
Ho 0.9996 0.5000 0.2561
Ho 0.0004 0.5000 0.7439
Ho 0.4996 0.0000 0.2561
Ho 0.5004 0.0000 0.7439